Record 1
For Ca2SiO4, the PBE geometry in the Materials Project gives the computed XRD peak list in this record (Cu Kα X-rays).
No peak broadening, texture or thermal motion is included.

Crystal structure
Cell: 3.6102 3.6102 11.7231 Å, 90.00 90.00 90.00°
Fractional coordinates of all 14 atoms:
Ca: 0.0000 0.0000 0.1462
Ca: 0.0000 0.0000 0.8538
Ca: 0.5000 0.5000 0.3538
Ca: 0.5000 0.5000 0.6462
Si: 0.0000 0.0000 0.5000
Si: 0.5000 0.5000 0.0000
O: 0.0000 0.0000 0.3446
O: 0.0000 0.0000 0.6554
O: 0.0000 0.5000 0.0000
O: 0.0000 0.5000 0.5000
O: 0.5000 0.0000 0.0000
O: 0.5000 0.0000 0.5000
O: 0.5000 0.5000 0.1554
O: 0.5000 0.5000 0.8446

Largest 12 diffraction maxima, by angle, 10 to 80 degrees two-theta:
- d = 5.862 Å, I = 31
- d = 2.652 Å, I = 96
- d = 2.553 Å, I = 100
- d = 2.340 Å, I = 18
- d = 1.966 Å, I = 13
- d = 1.954 Å, I = 37
- d = 1.925 Å, I = 59
- d = 1.805 Å, I = 76
- d = 1.552 Å, I = 23
- d = 1.492 Å, I = 33
- d = 1.326 Å, I = 33
- d = 1.276 Å, I = 20


Record 2
For ErLuRh2, the PBE geometry in the Materials Project gives the computed XRD peak list in this record (Cu Kα X-rays).
No peak broadening, texture or thermal motion is included.

Crystal structure
Cell: 6.7766 6.7766 6.7766 Å, 90.00 90.00 90.00°
Fractional coordinates of all 16 atoms:
Er: 0.0000 0.0000 0.0000
Er: 0.0000 0.5000 0.5000
Er: 0.5000 0.0000 0.5000
Er: 0.5000 0.5000 0.0000
Lu: 0.0000 0.0000 0.5000
Lu: 0.0000 0.5000 0.0000
Lu: 0.5000 0.0000 0.0000
Lu: 0.5000 0.5000 0.5000
Rh: 0.2500 0.2500 0.2500
Rh: 0.2500 0.2500 0.7500
Rh: 0.2500 0.7500 0.2500
Rh: 0.2500 0.7500 0.7500
Rh: 0.7500 0.2500 0.2500
Rh: 0.7500 0.2500 0.7500
Rh: 0.7500 0.7500 0.2500
Rh: 0.7500 0.7500 0.7500

Largest 6 diffraction maxima, by angle, 10 to 80 degrees two-theta:
- d = 3.388 Å, I = 6
- d = 2.396 Å, I = 100
- d = 1.956 Å, I = 2
- d = 1.694 Å, I = 17
- d = 1.515 Å, I = 3
- d = 1.383 Å, I = 35


Record 3
For MgAl2H8, the PBE geometry in the Materials Project gives the computed XRD peak list in this record (Cu Kα X-rays).
No peak broadening, texture or thermal motion is included.

Crystal structure
Cell: 4.6187 4.7962 6.4649 Å, 81.08 75.55 62.80°
Fractional coordinates of all 11 atoms:
Mg: 0.0000 0.0000 0.0000
Al: 0.4178 0.3690 0.7040
Al: 0.5822 0.6310 0.2960
H: 0.0794 0.6685 0.8081
H: 0.2539 0.6883 0.2072
H: 0.3583 0.0626 0.8360
H: 0.4656 0.2885 0.4697
H: 0.5344 0.7115 0.5303
H: 0.6262 0.9371 0.1537
H: 0.7461 0.3117 0.7928
H: 0.9060 0.3319 0.1820

Largest 12 diffraction maxima, by angle, 10 to 80 degrees two-theta:
- d = 3.897 Å, I = 29
- d = 3.745 Å, I = 100
- d = 3.602 Å, I = 95
- d = 2.999 Å, I = 51
- d = 2.755 Å, I = 18
- d = 2.465 Å, I = 33
- d = 2.440 Å, I = 28
- d = 2.355 Å, I = 17
- d = 2.295 Å, I = 19
- d = 2.256 Å, I = 24
- d = 2.055 Å, I = 16
- d = 1.988 Å, I = 18


Record 4
For Mg9Si5, the PBE geometry in the Materials Project gives the computed XRD peak list in this record (Cu Kα X-rays).
No peak broadening, texture or thermal motion is included.

Crystal structure
Cell: 7.1835 7.1940 13.1955 Å, 87.63 76.89 60.48°
Fractional coordinates of all 28 atoms:
Mg: 0.0000 0.0000 0.0000
Mg: 0.0058 0.3397 0.1667
Mg: 0.0503 0.5791 0.6066
Mg: 0.1176 0.8952 0.4895
Mg: 0.1345 0.5394 0.3265
Mg: 0.1843 0.2545 0.8532
Mg: 0.2733 0.8319 0.1741
Mg: 0.3162 0.4768 0.0086
Mg: 0.3775 0.1603 0.4860
Mg: 0.4944 0.3530 0.6774
Mg: 0.5215 0.1115 0.1675
Mg: 0.5379 0.8759 0.6798
Mg: 0.6028 0.7543 0.3251
Mg: 0.6866 0.0355 0.8490
Mg: 0.7317 0.6781 0.0258
Mg: 0.8067 0.4247 0.4906
Mg: 0.8155 0.0855 0.3261
Mg: 0.9624 0.2181 0.6913
Si: 0.0938 0.6744 0.8491
Si: 0.1828 0.1286 0.3327
Si: 0.2188 0.7850 0.6862
Si: 0.3524 0.0573 0.0137
Si: 0.4642 0.4805 0.4140
Si: 0.5783 0.4381 0.2106
Si: 0.7377 0.3657 0.9065
Si: 0.7768 0.8231 0.4813
Si: 0.8155 0.6115 0.8036
Si: 0.9363 0.7586 0.1632

Largest 12 diffraction maxima, by angle, 10 to 80 degrees two-theta:
- d = 2.812 Å, I = 100
- d = 2.687 Å, I = 89
- d = 2.522 Å, I = 93
- d = 2.446 Å, I = 40
- d = 2.369 Å, I = 49
- d = 2.348 Å, I = 42
- d = 2.340 Å, I = 41
- d = 2.333 Å, I = 55
- d = 2.135 Å, I = 85
- d = 2.080 Å, I = 57
- d = 2.076 Å, I = 70
- d = 2.070 Å, I = 54


Record 5
For Ni4Mo, the PBE geometry in the Materials Project gives the computed XRD peak list in this record (Cu Kα X-rays).
No peak broadening, texture or thermal motion is included.

Crystal structure
Cell: 5.7209 5.7209 3.5557 Å, 90.00 90.00 90.00°
Fractional coordinates of all 10 atoms:
Ni: 0.0993 0.3016 0.0000
Ni: 0.1984 0.5993 0.5000
Ni: 0.3016 0.9007 0.0000
Ni: 0.4007 0.1984 0.5000
Ni: 0.5993 0.8016 0.5000
Ni: 0.6984 0.0993 0.0000
Ni: 0.8016 0.4007 0.5000
Ni: 0.9007 0.6984 0.0000
Mo: 0.0000 0.0000 0.5000
Mo: 0.5000 0.5000 0.0000

Largest 9 diffraction maxima, by angle, 10 to 80 degrees two-theta:
- d = 4.045 Å, I = 2
- d = 3.020 Å, I = 3
- d = 2.860 Å, I = 1
- d = 2.077 Å, I = 100
- d = 1.809 Å, I = 32
- d = 1.778 Å, I = 15
- d = 1.449 Å, I = 1
- d = 1.279 Å, I = 9
- d = 1.268 Å, I = 18


Record 6
For Li3CuF6, the PBE geometry in the Materials Project gives the computed XRD peak list in this record (Cu Kα X-rays).
No peak broadening, texture or thermal motion is included.

Crystal structure
Cell: 8.4632 8.4632 10.1037 Å, 93.82 93.82 61.54°
Fractional coordinates of all 60 atoms:
Li: 0.0056 0.7111 0.2325
Li: 0.0599 0.3430 0.4321
Li: 0.1240 0.5430 0.9484
Li: 0.1879 0.8121 0.7500
Li: 0.2889 0.9944 0.2675
Li: 0.3252 0.6292 0.4608
Li: 0.3430 0.0599 0.9321
Li: 0.3708 0.6748 0.0392
Li: 0.4570 0.8760 0.5516
Li: 0.5430 0.1240 0.4484
Li: 0.6292 0.3252 0.9608
Li: 0.6570 0.9401 0.0679
Li: 0.6748 0.3708 0.5392
Li: 0.7111 0.0056 0.7325
Li: 0.8121 0.1879 0.2500
Li: 0.8760 0.4570 0.0516
Li: 0.9401 0.6570 0.5679
Li: 0.9944 0.2889 0.7675
Cu: 0.0000 0.0000 0.0000
Cu: 0.0000 0.0000 0.5000
Cu: 0.3347 0.3389 0.7043
Cu: 0.3389 0.3347 0.2043
Cu: 0.6611 0.6653 0.7957
Cu: 0.6653 0.6611 0.2957
F: 0.0640 0.0809 0.1655
F: 0.0809 0.0640 0.6655
F: 0.0858 0.7615 0.0639
F: 0.0942 0.7621 0.5655
F: 0.1064 0.4161 0.6075
F: 0.1092 0.4312 0.1105
F: 0.2263 0.2691 0.8371
F: 0.2379 0.9058 0.9345
F: 0.2385 0.9142 0.4361
F: 0.2402 0.5569 0.3046
F: 0.2458 0.5653 0.8029
F: 0.2691 0.2263 0.3371
F: 0.4120 0.4298 0.0667
F: 0.4161 0.1064 0.1075
F: 0.4298 0.4120 0.5667
F: 0.4312 0.1092 0.6105
F: 0.4347 0.7542 0.6971
F: 0.4431 0.7598 0.1954
F: 0.5569 0.2402 0.8046
F: 0.5653 0.2458 0.3029
F: 0.5688 0.8908 0.3895
F: 0.5702 0.5880 0.4333
F: 0.5839 0.8936 0.8925
F: 0.5880 0.5702 0.9333
F: 0.7309 0.7737 0.6629
F: 0.7542 0.4347 0.1971
F: 0.7598 0.4431 0.6954
F: 0.7615 0.0858 0.5639
F: 0.7621 0.0942 0.0655
F: 0.7737 0.7309 0.1629
F: 0.8908 0.5688 0.8895
F: 0.8936 0.5839 0.3925
F: 0.9058 0.2379 0.4345
F: 0.9142 0.2385 0.9361
F: 0.9191 0.9360 0.3345
F: 0.9360 0.9191 0.8345

Largest 12 diffraction maxima, by angle, 10 to 80 degrees two-theta:
- d = 4.330 Å, I = 40
- d = 4.249 Å, I = 71
- d = 4.220 Å, I = 100
- d = 3.994 Å, I = 39
- d = 3.055 Å, I = 32
- d = 2.936 Å, I = 32
- d = 2.259 Å, I = 17
- d = 2.189 Å, I = 31
- d = 2.148 Å, I = 17
- d = 1.860 Å, I = 20
- d = 1.627 Å, I = 16
- d = 1.454 Å, I = 15


Record 7
For Er2CuTe2S2O14, the PBE geometry in the Materials Project gives the computed XRD peak list in this record (Cu Kα X-rays).
No peak broadening, texture or thermal motion is included.

Crystal structure
Cell: 5.1893 7.9285 8.1764 Å, 62.25 74.14 85.20°
Fractional coordinates of all 21 atoms:
Er: 0.0732 0.2522 0.0182
Er: 0.9268 0.7478 0.9818
Cu: 0.0000 0.0000 0.5000
Te: 0.4899 0.7273 0.6557
Te: 0.5101 0.2727 0.3443
S: 0.2531 0.7484 0.2494
S: 0.7469 0.2516 0.7506
O: 0.1381 0.5881 0.2393
O: 0.1416 0.7470 0.4355
O: 0.1760 0.9239 0.0913
O: 0.2480 0.5600 0.8919
O: 0.2492 0.9273 0.6597
O: 0.2697 0.1885 0.2531
O: 0.4505 0.2632 0.7873
O: 0.5495 0.7368 0.2127
O: 0.7303 0.8115 0.7469
O: 0.7508 0.0727 0.3403
O: 0.7520 0.4400 0.1081
O: 0.8240 0.0761 0.9087
O: 0.8584 0.2530 0.5645
O: 0.8619 0.4119 0.7607

Largest 12 diffraction maxima, by angle, 10 to 80 degrees two-theta:
- d = 6.739 Å, I = 65
- d = 4.688 Å, I = 35
- d = 3.936 Å, I = 43
- d = 3.626 Å, I = 64
- d = 3.595 Å, I = 75
- d = 3.504 Å, I = 100
- d = 3.299 Å, I = 47
- d = 3.244 Å, I = 41
- d = 2.963 Å, I = 74
- d = 2.557 Å, I = 78
- d = 2.512 Å, I = 38
- d = 2.327 Å, I = 42


Record 8
For NbOF2, the PBE geometry in the Materials Project gives the computed XRD peak list in this record (Cu Kα X-rays).
No peak broadening, texture or thermal motion is included.

Crystal structure
Cell: 3.4098 3.8889 9.4981 Å, 90.00 90.00 90.00°
Fractional coordinates of all 8 atoms:
Nb: 0.0000 0.0000 0.0000
Nb: 0.5000 0.5000 0.5000
O: 0.0000 0.5000 0.0000
O: 0.5000 0.0000 0.5000
F: 0.0000 0.5000 0.3664
F: 0.0000 0.5000 0.6336
F: 0.5000 0.0000 0.1336
F: 0.5000 0.0000 0.8664

Largest 12 diffraction maxima, by angle, 10 to 80 degrees two-theta:
- d = 4.749 Å, I = 100
- d = 3.599 Å, I = 94
- d = 3.209 Å, I = 46
- d = 2.320 Å, I = 51
- d = 2.256 Å, I = 32
- d = 1.944 Å, I = 16
- d = 1.742 Å, I = 27
- d = 1.705 Å, I = 14
- d = 1.663 Å, I = 13
- d = 1.659 Å, I = 14
- d = 1.541 Å, I = 15
- d = 1.490 Å, I = 22


Record 9
For FeAg, the PBE geometry in the Materials Project gives the computed XRD peak list in this record (Cu Kα X-rays).
No peak broadening, texture or thermal motion is included.

Crystal structure
Cell: 2.7542 2.7542 13.9216 Å, 90.00 90.00 120.00°
Fractional coordinates of all 6 atoms:
Fe: 0.0000 0.0000 0.0000
Fe: 0.3333 0.6667 0.6667
Fe: 0.6667 0.3333 0.3333
Ag: 0.0000 0.0000 0.5000
Ag: 0.3333 0.6667 0.1667
Ag: 0.6667 0.3333 0.8333

Largest 12 diffraction maxima, by angle, 10 to 80 degrees two-theta:
- d = 4.641 Å, I = 21
- d = 2.351 Å, I = 11
- d = 2.320 Å, I = 36
- d = 2.256 Å, I = 100
- d = 1.968 Å, I = 65
- d = 1.811 Å, I = 5
- d = 1.547 Å, I = 1
- d = 1.527 Å, I = 3
- d = 1.406 Å, I = 20
- d = 1.377 Å, I = 19
- d = 1.320 Å, I = 3
- d = 1.202 Å, I = 12


Record 10
For LiCdO3, the PBE geometry in the Materials Project gives the computed XRD peak list in this record (Cu Kα X-rays).
No peak broadening, texture or thermal motion is included.

Crystal structure
Cell: 3.7617 3.7617 3.7617 Å, 90.00 90.00 90.00°
Fractional coordinates of all 5 atoms:
Li: 0.0000 0.0000 0.0000
Cd: 0.5000 0.5000 0.5000
O: 0.0000 0.0000 0.5000
O: 0.0000 0.5000 0.0000
O: 0.5000 0.0000 0.0000

Largest 8 diffraction maxima, by angle, 10 to 80 degrees two-theta:
- d = 3.762 Å, I = 98
- d = 2.660 Å, I = 100
- d = 2.172 Å, I = 86
- d = 1.881 Å, I = 45
- d = 1.682 Å, I = 41
- d = 1.536 Å, I = 37
- d = 1.330 Å, I = 25
- d = 1.254 Å, I = 20


Record 11
For Na3H7Ru, the PBE geometry in the Materials Project gives the computed XRD peak list in this record (Cu Kα X-rays).
No peak broadening, texture or thermal motion is included.

Crystal structure
Cell: 9.5516 9.5516 5.3183 Å, 90.00 90.00 90.00°
Fractional coordinates of all 44 atoms:
Na: 0.0353 0.3006 0.0000
Na: 0.1133 0.8867 0.5000
Na: 0.1994 0.5353 0.5000
Na: 0.3006 0.0353 0.0000
Na: 0.3867 0.3867 0.0000
Na: 0.4647 0.8006 0.5000
Na: 0.5353 0.1994 0.5000
Na: 0.6133 0.6133 0.0000
Na: 0.6994 0.9647 0.0000
Na: 0.8006 0.4647 0.5000
Na: 0.8867 0.1133 0.5000
Na: 0.9647 0.6994 0.0000
H: 0.0676 0.3235 0.5000
H: 0.1054 0.1054 0.3012
H: 0.1054 0.1054 0.6988
H: 0.1753 0.8247 0.0000
H: 0.1765 0.5676 0.0000
H: 0.2458 0.2458 0.2113
H: 0.2458 0.2458 0.7887
H: 0.2542 0.7458 0.2887
H: 0.2542 0.7458 0.7113
H: 0.3235 0.0676 0.5000
H: 0.3247 0.3247 0.5000
H: 0.3946 0.6054 0.1988
H: 0.3946 0.6054 0.8012
H: 0.4324 0.8235 0.0000
H: 0.5676 0.1765 0.0000
H: 0.6054 0.3946 0.1988
H: 0.6054 0.3946 0.8012
H: 0.6753 0.6753 0.5000
H: 0.6765 0.9324 0.5000
H: 0.7458 0.2542 0.2887
H: 0.7458 0.2542 0.7113
H: 0.7542 0.7542 0.2113
H: 0.7542 0.7542 0.7887
H: 0.8235 0.4324 0.0000
H: 0.8247 0.1753 0.0000
H: 0.8946 0.8946 0.3012
H: 0.8946 0.8946 0.6988
H: 0.9324 0.6765 0.5000
Ru: 0.2025 0.2025 0.5000
Ru: 0.2975 0.7025 0.0000
Ru: 0.7025 0.2975 0.0000
Ru: 0.7975 0.7975 0.5000

Largest 12 diffraction maxima, by angle, 10 to 80 degrees two-theta:
- d = 4.776 Å, I = 83
- d = 4.647 Å, I = 25
- d = 4.272 Å, I = 42
- d = 4.178 Å, I = 100
- d = 2.732 Å, I = 96
- d = 2.659 Å, I = 41
- d = 2.649 Å, I = 26
- d = 2.626 Å, I = 72
- d = 2.371 Å, I = 29
- d = 2.323 Å, I = 22
- d = 1.877 Å, I = 20
- d = 1.352 Å, I = 23


Record 12
For Ni3I, the PBE geometry in the Materials Project gives the computed XRD peak list in this record (Cu Kα X-rays).
No peak broadening, texture or thermal motion is included.

Crystal structure
Cell: 3.7666 3.7666 7.6990 Å, 90.00 90.00 90.00°
Fractional coordinates of all 8 atoms:
Ni: 0.0000 0.0000 0.0000
Ni: 0.0000 0.5000 0.2500
Ni: 0.0000 0.5000 0.7500
Ni: 0.5000 0.0000 0.2500
Ni: 0.5000 0.0000 0.7500
Ni: 0.5000 0.5000 0.5000
I: 0.0000 0.0000 0.5000
I: 0.5000 0.5000 0.0000

Largest 12 diffraction maxima, by angle, 10 to 80 degrees two-theta:
- d = 3.849 Å, I = 4
- d = 3.383 Å, I = 12
- d = 2.663 Å, I = 3
- d = 2.190 Å, I = 100
- d = 2.121 Å, I = 3
- d = 1.925 Å, I = 17
- d = 1.883 Å, I = 31
- d = 1.692 Å, I = 2
- d = 1.646 Å, I = 3
- d = 1.408 Å, I = 2
- d = 1.346 Å, I = 19
- d = 1.332 Å, I = 9


Repeat the fifth record exactly.
For Ni4Mo, the PBE geometry in the Materials Project gives the computed XRD peak list in this record (Cu Kα X-rays).
No peak broadening, texture or thermal motion is included.

Crystal structure
Cell: 5.7209 5.7209 3.5557 Å, 90.00 90.00 90.00°
Fractional coordinates of all 10 atoms:
Ni: 0.0993 0.3016 0.0000
Ni: 0.1984 0.5993 0.5000
Ni: 0.3016 0.9007 0.0000
Ni: 0.4007 0.1984 0.5000
Ni: 0.5993 0.8016 0.5000
Ni: 0.6984 0.0993 0.0000
Ni: 0.8016 0.4007 0.5000
Ni: 0.9007 0.6984 0.0000
Mo: 0.0000 0.0000 0.5000
Mo: 0.5000 0.5000 0.0000

Largest 9 diffraction maxima, by angle, 10 to 80 degrees two-theta:
- d = 4.045 Å, I = 2
- d = 3.020 Å, I = 3
- d = 2.860 Å, I = 1
- d = 2.077 Å, I = 100
- d = 1.809 Å, I = 32
- d = 1.778 Å, I = 15
- d = 1.449 Å, I = 1
- d = 1.279 Å, I = 9
- d = 1.268 Å, I = 18